Structure and computed X-ray diffraction stick pattern of CaGaH2 (a cell relaxed with PBE; λ = 1.5418 Å (Cu Kα)).
Neutral-atom scattering factors, no anomalous dispersion.

Peak list (7 most intense, 5 to 70 degrees two-theta, in order of falling intensity)
two_theta, I_rel
30.05, 100
43.01, 80
53.35, 25
25.94, 14
62.45, 12
50.92, 8
68.79, 3

Crystal structure
```
CaGaH2
1.0
5.9484 0.0000 0.0000
0.0000 5.9484 0.0000
0.0000 0.0000 5.9484
Ca Ga H
4 4 8
direct
0.0000 0.0000 0.0000
0.0000 0.5000 0.5000
0.5000 0.0000 0.5000
0.5000 0.5000 0.0000
0.0000 0.0000 0.5000
0.0000 0.5000 0.0000
0.5000 0.0000 0.0000
0.5000 0.5000 0.5000
0.2500 0.2500 0.2500
0.2500 0.2500 0.7500
0.2500 0.7500 0.2500
0.2500 0.7500 0.7500
0.7500 0.2500 0.2500
0.7500 0.2500 0.7500
0.7500 0.7500 0.2500
0.7500 0.7500 0.7500
```


Structure and computed X-ray diffraction stick pattern of Ca6Ga3H (a cell relaxed with PBE; λ = 1.5418 Å (Cu Kα)).
Neutral-atom scattering factors, no anomalous dispersion.

Peak list (10 most intense, 5 to 70 degrees two-theta, in order of falling intensity)
two_theta, I_rel
35.77, 100
32.17, 90
34.31, 63
32.37, 61
33.98, 58
32.61, 54
31.52, 51
16.80, 48
29.27, 48
27.28, 46

Crystal structure
```
Ca6Ga3H
1.0
5.8883 -7.1595 0.0000
5.8883 7.1595 0.0000
0.0000 0.0000 6.4779
Ca Ga H
12 6 2
direct
0.0813 0.9187 0.5000
0.1361 0.5478 0.2635
0.2393 0.3108 0.7822
0.3025 0.6975 0.7611
0.3108 0.2393 0.2822
0.4522 0.8639 0.2635
0.5478 0.1361 0.7635
0.6892 0.7607 0.7822
0.6975 0.3025 0.2611
0.7607 0.6892 0.2822
0.8639 0.4522 0.7635
0.9187 0.0813 0.0000
0.0109 0.7648 0.9550
0.2352 0.9891 0.9550
0.4774 0.5226 0.0566
0.5226 0.4774 0.5566
0.7648 0.0109 0.4550
0.9891 0.2352 0.4550
0.2432 0.7568 0.4408
0.7568 0.2432 0.9408
```


Structure and computed X-ray diffraction stick pattern of Ca5Ga2H (a cell relaxed with PBE; λ = 1.5418 Å (Cu Kα)).
Neutral-atom scattering factors, no anomalous dispersion.

Peak list (10 most intense, 5 to 70 degrees two-theta, in order of falling intensity)
two_theta, I_rel
32.49, 100
34.66, 42
60.75, 29
17.13, 19
56.54, 19
49.83, 14
27.40, 14
43.21, 11
68.04, 10
16.08, 9

Crystal structure
```
Ca5Ga2H
1.0
7.3204 0.0000 0.0000
0.0000 7.3204 0.0000
0.0000 0.0000 8.3741
Ca Ga H
10 4 2
direct
0.0000 0.0000 0.0000
0.2428 0.2428 0.7391
0.2428 0.7572 0.7391
0.2572 0.2572 0.2391
0.2572 0.7428 0.2391
0.5000 0.5000 0.5000
0.7428 0.2572 0.2391
0.7428 0.7428 0.2391
0.7572 0.2428 0.7391
0.7572 0.7572 0.7391
0.0000 0.5000 0.4880
0.0000 0.5000 0.9880
0.5000 0.0000 0.4880
0.5000 0.0000 0.9880
0.0000 0.0000 0.7388
0.5000 0.5000 0.2388
```


Structure and computed X-ray diffraction stick pattern of Ca3Ga8Hg3 (a cell relaxed with PBE; λ = 1.5418 Å (Cu Kα)).
Neutral-atom scattering factors, no anomalous dispersion.

Peak list (10 most intense, 5 to 70 degrees two-theta, in order of falling intensity)
two_theta, I_rel
33.33, 100
36.06, 33
27.64, 29
39.34, 28
40.85, 27
10.89, 25
12.89, 24
42.88, 20
21.31, 19
58.01, 18

Crystal structure
```
Ca3Ga8Hg3
1.0
-2.2090 5.0334 6.8705
2.2090 -5.0334 6.8705
2.2090 5.0334 -6.8705
Ca Ga Hg
3 8 3
direct
0.0000 0.0000 0.0000
0.3113 0.3113 0.0000
0.6887 0.6887 0.0000
0.0393 0.6644 0.3749
0.1116 0.8424 0.2692
0.2896 0.6644 0.6251
0.4268 0.1576 0.2692
0.5732 0.8424 0.7308
0.7104 0.3356 0.3749
0.8884 0.1576 0.7308
0.9607 0.3356 0.6251
0.2870 0.5000 0.7870
0.5000 0.0000 0.5000
0.7130 0.5000 0.2130
```


Copy entry 1 word for word.
Structure and computed X-ray diffraction stick pattern of CaGaH2 (a cell relaxed with PBE; λ = 1.5418 Å (Cu Kα)).
Neutral-atom scattering factors, no anomalous dispersion.

Peak list (7 most intense, 5 to 70 degrees two-theta, in order of falling intensity)
two_theta, I_rel
30.05, 100
43.01, 80
53.35, 25
25.94, 14
62.45, 12
50.92, 8
68.79, 3

Crystal structure
```
CaGaH2
1.0
5.9484 0.0000 0.0000
0.0000 5.9484 0.0000
0.0000 0.0000 5.9484
Ca Ga H
4 4 8
direct
0.0000 0.0000 0.0000
0.0000 0.5000 0.5000
0.5000 0.0000 0.5000
0.5000 0.5000 0.0000
0.0000 0.0000 0.5000
0.0000 0.5000 0.0000
0.5000 0.0000 0.0000
0.5000 0.5000 0.5000
0.2500 0.2500 0.2500
0.2500 0.2500 0.7500
0.2500 0.7500 0.2500
0.2500 0.7500 0.7500
0.7500 0.2500 0.2500
0.7500 0.2500 0.7500
0.7500 0.7500 0.2500
0.7500 0.7500 0.7500
```


Copy entry 3 word for word.
Structure and computed X-ray diffraction stick pattern of Ca5Ga2H (a cell relaxed with PBE; λ = 1.5418 Å (Cu Kα)).
Neutral-atom scattering factors, no anomalous dispersion.

Peak list (10 most intense, 5 to 70 degrees two-theta, in order of falling intensity)
two_theta, I_rel
32.49, 100
34.66, 42
60.75, 29
17.13, 19
56.54, 19
49.83, 14
27.40, 14
43.21, 11
68.04, 10
16.08, 9

Crystal structure
```
Ca5Ga2H
1.0
7.3204 0.0000 0.0000
0.0000 7.3204 0.0000
0.0000 0.0000 8.3741
Ca Ga H
10 4 2
direct
0.0000 0.0000 0.0000
0.2428 0.2428 0.7391
0.2428 0.7572 0.7391
0.2572 0.2572 0.2391
0.2572 0.7428 0.2391
0.5000 0.5000 0.5000
0.7428 0.2572 0.2391
0.7428 0.7428 0.2391
0.7572 0.2428 0.7391
0.7572 0.7572 0.7391
0.0000 0.5000 0.4880
0.0000 0.5000 0.9880
0.5000 0.0000 0.4880
0.5000 0.0000 0.9880
0.0000 0.0000 0.7388
0.5000 0.5000 0.2388
```